# K17Fe5O16
Computed powder diffraction line list, Cu Ka. Input: DFT lattice parameters and positions (PBE+U).
No peak broadening, texture or thermal motion is included.

Crystal structure
Cell lengths 6.786, 36.702, 6.786 Å; angles 90.00, 119.37, 90.00 degrees
Space group Cm (No. 8)
Asymmetric unit:
K 0.000 0.000 0.000 (multiplicity 2)
K 0.000 0.170 0.978 (multiplicity 4)
K 0.003 0.085 0.705 (multiplicity 4)
K 0.043 0.454 0.126 (multiplicity 4)
K 0.046 0.363 0.108 (multiplicity 4)
K 0.056 0.275 0.128 (multiplicity 4)
K 0.445 0.232 0.573 (multiplicity 4)
K 0.459 0.139 0.566 (multiplicity 4)
K 0.461 0.046 0.585 (multiplicity 4)
Fe 0.002 0.000 0.509 (multiplicity 2)
Fe 0.003 0.090 0.195 (multiplicity 4)
Fe 0.003 0.179 0.500 (multiplicity 4)
O 0.000 0.129 0.387 (multiplicity 4)
O 0.001 0.214 0.287 (multiplicity 4)
O 0.002 0.043 0.339 (multiplicity 4)
O 0.233 0.500 0.527 (multiplicity 2)
O 0.234 0.313 0.519 (multiplicity 4)
O 0.237 0.407 0.910 (multiplicity 4)
O 0.269 0.000 0.793 (multiplicity 2)
O 0.271 0.093 0.176 (multiplicity 4)
O 0.273 0.185 0.781 (multiplicity 4)

Most intense lines, 2θ from 10° to 90°, in order of falling intensity:
Position (°2θ), I/Imax
30.77, 100
30.23, 74
37.82, 52
33.93, 28
33.66, 26
30.52, 19
19.39, 17
54.04, 16
15.18, 16
42.15, 14
28.99, 13
14.98, 13